# 1
# BOs
Theoretical powder diffraction line list, CuKα. Input: DFT lattice parameters and positions (GGA-PBE).
No peak broadening, texture or thermal motion is included.

Structure:
Lattice parameters (Å, degrees): 2.8153 4.5573 7.2819 73.79 89.99 89.82
Fractional positions:
B  0.2224  0.3287  0.3341
B  0.2762  0.6738  0.1656
B  0.7238  0.3262  0.8344
B  0.7776  0.6713  0.6659
Os  0.2246  0.2215  0.0504
Os  0.2753  0.7785  0.4499
Os  0.7247  0.2215  0.5501
Os  0.7754  0.7785  0.9496

Top 6 peaks for 5° ≤ 2θ ≤ 70°, low angle first:
2θ/deg, I (rel.)
25.48, 100
38.20, 54
38.30, 48
41.26, 43
42.16, 81
50.56, 40



# 2
# BOs
Theoretical powder diffraction line list, CuKα. Input: DFT lattice parameters and positions (GGA-PBE).
No peak broadening, texture or thermal motion is included.

Structure:
Lattice parameters (Å, degrees): 2.8964 2.8964 2.8794 90.00 90.00 120.00
Fractional positions:
B  0.0000  0.0000  0.0000
Os  0.6667  0.3333  0.5000

Top 5 peaks for 5° ≤ 2θ ≤ 70°, low angle first:
2θ/deg, I (rel.)
31.06, 46
35.80, 100
48.11, 95
64.33, 21
64.75, 7



# 3
# B2Os
Theoretical powder diffraction line list, CuKα. Input: DFT lattice parameters and positions (GGA-PBE).
No peak broadening, texture or thermal motion is included.

Structure:
Lattice parameters (Å, degrees): 2.8873 4.7092 4.0912 90.00 90.00 90.00
Fractional positions:
B  0.2500  0.0559  0.1380
B  0.2500  0.4441  0.1380
B  0.7500  0.5559  0.8620
B  0.7500  0.9441  0.8620
Os  0.2500  0.2500  0.6550
Os  0.7500  0.7500  0.3450

Top 6 peaks for 5° ≤ 2θ ≤ 70°, low angle first:
2θ/deg, I (rel.)
21.72, 38
28.91, 100
36.50, 89
38.18, 76
48.52, 35
55.07, 66



# 4
# PrB2Os2
Theoretical powder diffraction line list, CuKα. Input: DFT lattice parameters and positions (GGA-PBE).
No peak broadening, texture or thermal motion is included.

Structure:
Lattice parameters (Å, degrees): 6.8350 6.0404 5.6658 71.37 56.87 51.77
Fractional positions:
Pr  0.1250  0.1250  0.1250
Pr  0.8750  0.8750  0.8750
B  0.1911  0.5589  0.1911
B  0.4411  0.8089  0.4411
B  0.5589  0.1911  0.5589
B  0.8089  0.4411  0.8089
Os  0.2386  0.2386  0.5114
Os  0.4886  0.4886  0.7614
Os  0.5114  0.5114  0.2386
Os  0.7614  0.7614  0.4886

Top 6 peaks for 5° ≤ 2θ ≤ 70°, low angle first:
2θ/deg, I (rel.)
31.34, 91
33.37, 100
39.16, 33
42.11, 45
50.45, 24
58.36, 24



# 5
# PuB4Os
Theoretical powder diffraction line list, CuKα. Input: DFT lattice parameters and positions (GGA-PBE).
No peak broadening, texture or thermal motion is included.

Structure:
Lattice parameters (Å, degrees): 6.0003 6.0003 3.5385 90.00 90.00 104.05
Fractional positions:
Pu  0.1995  0.8005  0.0000
Pu  0.8005  0.1995  0.0000
B  0.1191  0.4362  0.5000
B  0.1230  0.1230  0.5000
B  0.4073  0.5927  0.5000
B  0.4362  0.1191  0.5000
B  0.5638  0.8809  0.5000
B  0.5927  0.4073  0.5000
B  0.8770  0.8770  0.5000
B  0.8809  0.5638  0.5000
Os  0.3155  0.3155  0.0000
Os  0.6845  0.6845  0.0000

Top 6 peaks for 5° ≤ 2θ ≤ 70°, low angle first:
2θ/deg, I (rel.)
25.17, 68
30.72, 52
30.83, 36
40.15, 100
45.93, 25
61.35, 26



# 6
# Pu2B6Os
Theoretical powder diffraction line list, CuKα. Input: DFT lattice parameters and positions (GGA-PBE).
No peak broadening, texture or thermal motion is included.

Structure:
Lattice parameters (Å, degrees): 9.3074 11.3341 3.5729 90.00 90.00 90.00
Fractional positions:
Pu  0.0401  0.0955  0.0000
Pu  0.1615  0.4067  0.0000
Pu  0.3385  0.9067  0.0000
Pu  0.4599  0.5955  0.0000
Pu  0.5401  0.4045  0.0000
Pu  0.6615  0.0933  0.0000
Pu  0.8385  0.5933  0.0000
Pu  0.9599  0.9045  0.0000
B  0.0120  0.2783  0.5000
B  0.0519  0.5690  0.5000
B  0.1445  0.9605  0.5000
B  0.1460  0.8123  0.5000
B  0.1941  0.2257  0.5000
B  0.2430  0.5767  0.5000
B  0.2570  0.0767  0.5000
B  0.3059  0.7257  0.5000
B  0.3540  0.3123  0.5000
B  0.3555  0.4605  0.5000
B  0.4481  0.0690  0.5000
B  0.4880  0.7783  0.5000
B  0.5120  0.2217  0.5000
B  0.5519  0.9310  0.5000
B  0.6445  0.5395  0.5000
B  0.6460  0.6877  0.5000
B  0.6941  0.2743  0.5000
B  0.7430  0.9233  0.5000
B  0.7570  0.4233  0.5000
B  0.8059  0.7743  0.5000
B  0.8540  0.1877  0.5000
B  0.8555  0.0395  0.5000
B  0.9481  0.4310  0.5000
B  0.9880  0.7217  0.5000
Os  0.1466  0.6813  0.0000
Os  0.3534  0.1813  0.0000
Os  0.6466  0.8187  0.0000
Os  0.8534  0.3187  0.0000

Top 6 peaks for 5° ≤ 2θ ≤ 70°, low angle first:
2θ/deg, I (rel.)
24.92, 100
29.86, 54
30.48, 42
39.27, 62
39.76, 48
40.64, 23



# 7
# PuB4Os
Theoretical powder diffraction line list, CuKα. Input: DFT lattice parameters and positions (GGA-PBE).
No peak broadening, texture or thermal motion is included.

Structure:
Lattice parameters (Å, degrees): 5.9921 11.6127 3.5396 90.00 90.00 90.00
Fractional positions:
Pu  0.1264  0.1499  0.0000
Pu  0.3736  0.6499  0.0000
Pu  0.6264  0.3501  0.0000
Pu  0.8736  0.8501  0.0000
B  0.0286  0.6916  0.5000
B  0.1139  0.5469  0.5000
B  0.1349  0.9687  0.5000
B  0.2135  0.8130  0.5000
B  0.2865  0.3130  0.5000
B  0.3651  0.4687  0.5000
B  0.3861  0.0469  0.5000
B  0.4714  0.1916  0.5000
B  0.5286  0.8084  0.5000
B  0.6139  0.9531  0.5000
B  0.6349  0.5313  0.5000
B  0.7135  0.6870  0.5000
B  0.7865  0.1870  0.5000
B  0.8651  0.0313  0.5000
B  0.8861  0.4531  0.5000
B  0.9714  0.3084  0.5000
Os  0.1381  0.4074  0.0000
Os  0.3619  0.9074  0.0000
Os  0.6381  0.0926  0.0000
Os  0.8619  0.5926  0.0000

Top 6 peaks for 5° ≤ 2θ ≤ 70°, low angle first:
2θ/deg, I (rel.)
25.16, 86
30.81, 89
40.18, 100
43.03, 25
46.10, 32
61.36, 26



# 8
# Sc2B4Os5
Theoretical powder diffraction line list, CuKα. Input: DFT lattice parameters and positions (GGA-PBE).
No peak broadening, texture or thermal motion is included.

Structure:
Lattice parameters (Å, degrees): 8.5730 3.0326 10.1825 90.00 90.01 90.00
Fractional positions:
Sc  0.1561  0.0000  0.1812
Sc  0.3437  0.0000  0.6809
Sc  0.6563  0.0000  0.3191
Sc  0.8439  0.0000  0.8188
B  0.0377  0.0000  0.5896
B  0.1475  0.0000  0.8981
B  0.3527  0.0000  0.3980
B  0.4631  0.0000  0.0900
B  0.5369  0.0000  0.9100
B  0.6473  0.0000  0.6020
B  0.8525  0.0000  0.1019
B  0.9623  0.0000  0.4104
Os  0.0000  0.5000  0.0000
Os  0.0957  0.5000  0.7382
Os  0.1587  0.5000  0.4519
Os  0.3415  0.5000  0.9522
Os  0.4044  0.5000  0.2382
Os  0.5000  0.5000  0.5000
Os  0.5956  0.5000  0.7618
Os  0.6585  0.5000  0.0478
Os  0.8413  0.5000  0.5481
Os  0.9043  0.5000  0.2618

Top 6 peaks for 5° ≤ 2θ ≤ 70°, low angle first:
2θ/deg, I (rel.)
29.45, 100
32.54, 57
33.68, 69
41.29, 46
44.46, 73
45.34, 81



# 9
# ScB4Os3
Theoretical powder diffraction line list, CuKα. Input: DFT lattice parameters and positions (GGA-PBE).
No peak broadening, texture or thermal motion is included.

Structure:
Lattice parameters (Å, degrees): 6.1078 6.1078 9.8702 90.00 90.00 151.95
Fractional positions:
Sc  0.0000  0.0000  0.0000
Sc  0.0000  0.0000  0.5000
B  0.1291  0.8709  0.7500
B  0.1495  0.8505  0.2500
B  0.3437  0.6563  0.6087
B  0.3437  0.6563  0.8913
B  0.6563  0.3437  0.1087
B  0.6563  0.3437  0.3913
B  0.8505  0.1495  0.7500
B  0.8709  0.1291  0.2500
Os  0.2982  0.7018  0.1083
Os  0.2982  0.7018  0.3917
Os  0.4889  0.5111  0.7500
Os  0.5111  0.4889  0.2500
Os  0.7018  0.2982  0.6083
Os  0.7018  0.2982  0.8917

Top 6 peaks for 5° ≤ 2θ ≤ 70°, low angle first:
2θ/deg, I (rel.)
23.46, 59
31.12, 75
39.56, 100
41.75, 67
42.32, 58
53.63, 60



# 10
# Ta2B2Os
Theoretical powder diffraction line list, CuKα. Input: DFT lattice parameters and positions (GGA-PBE).
No peak broadening, texture or thermal motion is included.

Structure:
Lattice parameters (Å, degrees): 5.9093 5.9093 6.9103 90.00 90.00 90.00
Fractional positions:
Ta  0.1641  0.3146  0.0000
Ta  0.1854  0.3359  0.5000
Ta  0.3146  0.8359  0.0000
Ta  0.3359  0.8146  0.5000
Ta  0.6641  0.1854  0.5000
Ta  0.6854  0.1641  0.0000
Ta  0.8146  0.6641  0.5000
Ta  0.8359  0.6854  0.0000
B  0.1137  0.6137  0.2500
B  0.1137  0.6137  0.7500
B  0.3863  0.1137  0.2500
B  0.3863  0.1137  0.7500
B  0.6137  0.8863  0.2500
B  0.6137  0.8863  0.7500
B  0.8863  0.3863  0.2500
B  0.8863  0.3863  0.7500
Os  0.0000  0.0000  0.2780
Os  0.0000  0.0000  0.7220
Os  0.5000  0.5000  0.2220
Os  0.5000  0.5000  0.7780

Top 6 peaks for 5° ≤ 2θ ≤ 70°, low angle first:
2θ/deg, I (rel.)
33.66, 62
33.92, 64
40.16, 100
43.09, 78
43.31, 25
48.73, 48



# 11
# TbB4Os
Theoretical powder diffraction line list, CuKα. Input: DFT lattice parameters and positions (GGA-PBE).
No peak broadening, texture or thermal motion is included.

Structure:
Lattice parameters (Å, degrees): 5.9870 11.5802 3.5805 90.00 90.00 90.00
Fractional positions:
Tb  0.1275  0.1505  0.0000
Tb  0.3725  0.6505  0.0000
Tb  0.6275  0.3495  0.0000
Tb  0.8725  0.8495  0.0000
B  0.0253  0.6909  0.5000
B  0.1124  0.5465  0.5000
B  0.1365  0.9700  0.5000
B  0.2119  0.8143  0.5000
B  0.2881  0.3143  0.5000
B  0.3635  0.4700  0.5000
B  0.3876  0.0465  0.5000
B  0.4747  0.1909  0.5000
B  0.5253  0.8091  0.5000
B  0.6124  0.9535  0.5000
B  0.6365  0.5300  0.5000
B  0.7119  0.6857  0.5000
B  0.7881  0.1857  0.5000
B  0.8635  0.0300  0.5000
B  0.8876  0.4535  0.5000
B  0.9747  0.3091  0.5000
Os  0.1410  0.4069  0.0000
Os  0.3590  0.9069  0.0000
Os  0.6410  0.0931  0.0000
Os  0.8590  0.5931  0.0000

Top 6 peaks for 5° ≤ 2θ ≤ 70°, low angle first:
2θ/deg, I (rel.)
24.87, 89
30.87, 86
38.04, 30
40.03, 100
42.92, 29
45.98, 41